Rb3CrF7: simulated powder diffractogram (CuKα), based on a DFT-relaxed cell (GGA+U, Alexandria).

Most intense lines, 2θ = 10–80°, low angle first:
Position (°2θ)  intensity  (hkl)
24.3  17  2 1 0
26.3  100  2 0 1
28.5  22  2 1 1
29.6  30  0 0 2
30.8  42  2 2 0
34.6  23  3 1 0
38.7  44  2 1 2
43.3  31  2 2 2

a = 8.2030 Å, b = 8.2030 Å, c = 6.0271 Å
α = 90.00°, β = 90.00°, γ = 90.00°
Sites, in units of the cell vectors:
Rb1 0.0000 0.0000 0.0000
Rb2 0.1913 0.3087 0.5000
Rb3 0.3087 0.8087 0.5000
Rb4 0.5000 0.5000 0.0000
Rb5 0.6913 0.1913 0.5000
Rb6 0.8087 0.6913 0.5000
Cr1 0.0000 0.5000 0.0000
Cr2 0.5000 0.0000 0.0000
F1 0.0000 0.0000 0.5000
F2 0.1125 0.6125 0.2218
F3 0.1125 0.6125 0.7782
F4 0.1592 0.3408 0.0000
F5 0.3408 0.8408 0.0000
F6 0.3875 0.1125 0.2218
F7 0.3875 0.1125 0.7782
F8 0.5000 0.5000 0.5000
F9 0.6125 0.8875 0.2218
F10 0.6125 0.8875 0.7782
F11 0.6592 0.1592 0.0000
F12 0.8408 0.6592 0.0000
F13 0.8875 0.3875 0.2218
F14 0.8875 0.3875 0.7782